Simulated powder diffractogram of TbGa6Ru5 for Cu Kα (weighted mean of Kα1 and Kα2), from a crystal structure in Alexandria, relaxed with GGA-PBE.
No peak broadening, texture or thermal motion is included.

Main lines, in order of rising 2θ (10 to 90 degrees two-theta):
2θ 40.5, intensity 33; 2θ 41.0, intensity 100; 2θ 41.1, intensity 66; 2θ 58.9, intensity 11; 2θ 59.2, intensity 10; 2θ 59.7, intensity 10; 2θ 73.9, intensity 11; 2θ 74.7, intensity 20; 2θ 74.9, intensity 10; 2θ 75.0, intensity 10; 2θ 88.8, intensity 6; 2θ 89.0, intensity 5

Cell and atoms:
```
TbGa6Ru5
1.0
4.395 0.000 0.000
0.001 6.194 0.000
2.166 0.006 6.689
Tb Ga Ru
1 6 5
Direct
0.000 0.000 0.000
0.182 0.264 0.639
0.182 0.736 0.640
0.500 0.283 0.000
0.500 0.717 0.000
0.818 0.264 0.360
0.818 0.736 0.361
0.000 0.500 0.000
0.310 0.000 0.312
0.345 0.500 0.326
0.655 0.500 0.674
0.690 0.000 0.688
```